No. 1
Calculated XRD peak list of Ti2Cu3Te3O16 for Cu Kα, from the GGA-PBE geometry in Alexandria.
Lines closer than 0.1° are merged.

Structural model:
```
Ti2Cu3Te3O16
1.0
5.640 -2.967 0.000
5.640 2.967 0.000
-0.718 0.000 9.255
Ti Cu Te O
2 3 3 16
Cartesian
0.000 0.000 0.000 Ti
7.201 0.000 4.215 Ti
0.781 0.000 6.461 Cu
8.113 1.481 1.728 Cu
8.113 -1.481 1.728 Cu
3.621 1.480 6.587 Te
5.320 0.000 1.953 Te
3.621 -1.480 6.587 Te
1.632 0.000 0.704 O
4.774 1.509 0.804 O
5.301 1.674 7.523 O
2.948 0.000 7.720 O
3.476 0.000 2.572 O
6.046 1.239 3.305 O
4.355 0.000 5.505 O
7.561 1.495 5.648 O
7.051 0.000 0.967 O
4.774 -1.509 0.804 O
6.046 -1.239 3.305 O
8.539 0.000 3.014 O
5.301 -1.674 7.523 O
8.617 0.000 7.787 O
9.815 0.000 5.385 O
7.561 -1.495 5.648 O
```

Main lines, in order of rising 2θ (15° ≤ 2θ ≤ 90°):
two_theta	I/Imax
17.81	24.7
19.16	100.0
19.75	14.8
32.56	16.1
33.18	10.8
34.03	20.8
34.20	23.1
35.92	23.5
38.82	18.8
41.76	11.8
44.51	14.6
46.22	10.9

No. 2
Calculated XRD peak list of UCuTeO6 for Cu Kα, from the GGA-PBE geometry in Alexandria.
Lines closer than 0.1° are merged.

Structural model:
```
UCuTeO6
1.0
5.579 0.000 0.000
-2.790 4.832 0.000
0.000 0.000 9.003
U Cu Te O
2 2 2 12
Cartesian
0.000 3.221 2.251 U
2.790 1.611 6.752 U
0.000 0.000 0.000 Cu
0.000 0.000 4.501 Cu
0.000 3.221 6.752 Te
2.790 1.611 2.251 Te
-0.930 1.660 1.172 O
-1.817 3.196 3.329 O
0.930 1.660 3.329 O
-0.887 4.807 1.172 O
1.903 0.024 5.673 O
0.972 1.636 7.831 O
1.817 3.196 1.172 O
0.887 4.807 3.329 O
3.676 0.024 7.831 O
1.859 3.172 5.673 O
4.607 1.636 5.673 O
3.720 3.172 7.831 O
```

Main lines, in order of rising 2θ (15° ≤ 2θ ≤ 90°):
two_theta	I/Imax
18.36	24.3
19.72	48.8
20.87	23.6
27.07	100.0
32.09	73.3
37.95	58.1
42.47	29.8
52.22	58.6
54.20	29.1
57.20	26.1
61.11	14.8
81.12	16.0

No. 3
Calculated XRD peak list of UCu2TeO8 for Cu Kα, from the GGA-PBE geometry in Alexandria.
Lines closer than 0.1° are merged.

Structural model:
```
UCu2TeO8
1.0
-3.260 3.260 3.474
3.260 -3.260 3.474
3.260 3.260 -3.474
U Cu Te O
1 2 1 8
Cartesian
0.000 0.000 0.000 U
3.260 0.000 1.737 Cu
0.000 0.000 3.474 Cu
0.000 3.260 1.737 Te
2.053 0.000 0.245 O
4.468 0.000 0.245 O
3.260 1.984 -1.413 O
3.260 -1.207 3.228 O
0.000 1.277 2.061 O
3.260 1.207 3.228 O
1.984 3.260 1.413 O
1.277 0.000 4.886 O
```

Main lines, in order of rising 2θ (15° ≤ 2θ ≤ 90°):
two_theta	I/Imax
18.66	58.6
27.36	99.4
32.27	100.0
33.32	14.9
39.07	23.4
51.54	71.2
56.45	15.3
60.39	20.4
63.84	14.5
66.53	19.9
79.94	14.3
87.32	13.7

No. 4
Calculated XRD peak list of ZnCuTeO6 for Cu Kα, from the GGA-PBE geometry in Alexandria.
Lines closer than 0.1° are merged.

Structural model:
```
ZnCuTeO6
1.0
4.668 0.000 0.000
0.000 4.668 0.000
0.000 0.000 9.129
Zn Cu Te O
2 2 2 12
Cartesian
0.000 0.000 0.000 Zn
2.334 2.334 4.565 Zn
0.000 0.000 3.043 Cu
2.334 2.334 7.607 Cu
0.000 0.000 6.095 Te
2.334 2.334 1.530 Te
0.860 0.860 4.549 O
0.903 0.903 7.552 O
0.921 0.921 1.548 O
1.413 3.255 6.112 O
1.431 3.237 2.987 O
1.474 3.194 9.114 O
3.194 1.474 9.114 O
3.237 1.431 2.987 O
3.255 1.413 6.112 O
3.747 3.747 1.548 O
3.765 3.765 7.552 O
3.808 3.808 4.549 O
```

Main lines, in order of rising 2θ (15° ≤ 2θ ≤ 90°):
two_theta	I/Imax
21.38	14.1
27.01	100.0
35.20	67.1
38.57	18.4
53.21	62.6
55.69	15.9
60.88	7.3
62.97	12.8
67.62	19.7
67.82	13.3
80.65	10.1
87.12	8.1

No. 5
Calculated XRD peak list of Ti4Cu2O for Cu Kα, from the GGA-PBE geometry in Alexandria.
Lines closer than 0.1° are merged.

Structural model:
```
Ti4Cu2O
1.0
0.000 5.740 5.740
5.740 0.000 5.740
5.740 5.740 0.000
Ti Cu O
16 8 4
Cartesian
5.740 5.740 2.066 Ti
5.740 2.066 5.740 Ti
9.413 5.740 5.740 Ti
6.695 4.785 4.785 Ti
8.610 8.610 6.497 Ti
8.610 6.497 8.610 Ti
10.722 8.610 8.610 Ti
4.785 6.695 4.785 Ti
4.785 4.785 6.695 Ti
6.695 6.695 6.695 Ti
2.066 5.740 5.740 Ti
5.740 9.413 5.740 Ti
5.740 5.740 9.413 Ti
6.497 8.610 8.610 Ti
8.610 10.722 8.610 Ti
8.610 8.610 10.722 Ti
1.886 1.886 1.886 Cu
3.853 3.853 1.886 Cu
3.853 1.886 3.853 Cu
4.253 4.253 4.253 Cu
7.226 7.226 4.253 Cu
7.226 4.253 7.226 Cu
1.886 3.853 3.853 Cu
4.253 7.226 7.226 Cu
10.040 7.179 7.179 O
7.179 10.040 7.179 O
7.179 7.179 10.040 O
10.040 10.040 10.040 O
```

Main lines, in order of rising 2θ (15° ≤ 2θ ≤ 90°):
two_theta	I/Imax
31.16	6.4
34.04	7.0
38.42	28.4
40.85	100.0
44.65	29.7
46.82	6.3
47.52	12.3
52.91	9.5
69.48	26.6
71.12	7.0
83.86	17.2
88.52	8.0

No. 6
Calculated XRD peak list of Tm2Ti12Cu9O36 for Cu Kα, from the GGA-PBE geometry in Alexandria.
Lines closer than 0.1° are merged.

Structural model:
```
Tm2Ti12Cu9O36
1.0
10.503 0.000 0.000
-5.252 9.096 0.000
0.000 0.000 6.446
Tm Ti Cu O
2 12 9 36
Cartesian
0.000 6.064 1.085 Tm
5.252 3.032 5.361 Tm
0.000 0.000 0.000 Ti
-2.626 4.548 0.000 Ti
-0.021 2.904 2.176 Ti
-2.726 7.662 2.176 Ti
2.504 1.470 4.270 Ti
0.000 6.064 4.240 Ti
5.252 0.000 0.000 Ti
2.626 4.548 0.000 Ti
5.252 3.032 2.207 Ti
2.747 7.625 2.176 Ti
7.977 1.434 4.270 Ti
5.273 6.192 4.270 Ti
-2.626 4.548 3.223 Cu
-0.002 3.070 5.414 Cu
-2.592 7.562 5.414 Cu
2.658 1.536 1.032 Cu
5.252 0.000 3.223 Cu
2.626 4.548 3.223 Cu
2.593 7.559 5.414 Cu
7.843 1.534 1.032 Cu
5.253 6.026 1.032 Cu
-0.695 1.503 1.091 O
-0.949 2.455 3.803 O
-1.566 4.100 1.610 O
-2.452 6.429 0.571 O
-3.603 8.946 1.091 O
0.954 1.353 5.355 O
-0.910 4.802 5.518 O
-1.559 6.213 3.107 O
-2.651 8.691 3.803 O
1.651 2.050 2.643 O
0.910 3.758 0.571 O
0.650 4.640 3.107 O
-0.638 7.483 5.518 O
-0.918 8.402 1.610 O
3.710 1.091 5.876 O
2.768 3.406 4.837 O
1.548 5.907 5.518 O
0.908 7.339 3.107 O
4.343 1.757 3.339 O
3.704 3.189 0.928 O
2.484 5.690 1.610 O
1.542 8.005 0.571 O
6.169 0.694 4.837 O
5.890 1.613 0.928 O
4.601 4.456 3.339 O
4.342 5.338 5.876 O
3.600 7.046 3.803 O
7.902 0.405 2.643 O
6.810 2.883 3.339 O
6.161 4.294 0.928 O
4.297 7.743 1.091 O
8.854 0.150 5.355 O
7.703 2.667 5.876 O
6.817 4.996 4.837 O
6.201 6.641 2.643 O
5.946 7.593 5.355 O
```

Main lines, in order of rising 2θ (15° ≤ 2θ ≤ 90°):
two_theta	I/Imax
16.86	9.0
23.95	7.8
34.12	100.0
38.30	9.3
42.12	9.7
45.67	8.0
49.03	27.5
61.00	12.1
61.11	36.1
71.79	6.2
71.92	6.1
81.99	15.5